(1)
This entry pairs a crystal structure of TiCrC with its calculated powder X-ray diffraction pattern. Radiation: λ = 1.5418 Å (Cu Kα). Structure: DFT lattice parameters and positions (GGA-PBE).

Crystal structure
Lattice parameters (Å, degrees): 2.8792 4.2949 5.4973 90.00 90.00 90.00
Space group Pmmn (No. 59, origin choice 2)
Asymmetric unit:
Ti (0.2500, 0.2500, 0.1217) [2 per cell]
Cr (0.2500, 0.2500, 0.6113) [2 per cell]
C (0.2500, 0.7500, 0.1553) [2 per cell]

Peak list (10 most intense, 10° ≤ 2θ ≤ 80°, most intense first)
d_spacing  I (rel.)
2.392  1000
2.315  904
1.988  792
2.147  530
1.459  511
1.223  195
1.440  125
1.282  116
1.270  111
1.374  94

(2)
This entry pairs a crystal structure of Tm2CrC2 with its calculated powder X-ray diffraction pattern. Radiation: λ = 1.5418 Å (Cu Kα). Structure: DFT lattice parameters and positions (GGA-PBE).

Crystal structure
Lattice parameters (Å, degrees): 10.7876 4.9754 6.5403 90.00 118.65 90.00
Space group C2/m (No. 12)
Asymmetric unit:
Tm (0.0340, 0.0000, 0.2760) [4 per cell]
Tm (0.1814, 0.5000, 0.1184) [4 per cell]
Cr (0.1359, 0.5000, 0.6285) [4 per cell]
C (0.0069, 0.5000, 0.2857) [4 per cell]
C (0.1859, 0.0000, 0.1125) [4 per cell]

Peak list (10 most intense, 10° ≤ 2θ ≤ 80°, most intense first)
d_spacing  I (rel.)
2.695  1000
2.665  844
2.488  573
2.908  448
2.510  415
3.011  303
1.767  289
1.473  214
2.056  207
1.585  177

(3)
This entry pairs a crystal structure of YU2Cr2C4 with its calculated powder X-ray diffraction pattern. Radiation: λ = 1.5418 Å (Cu Kα). Structure: DFT lattice parameters and positions (GGA-PBE).

Crystal structure
Lattice parameters (Å, degrees): 13.0968 3.2166 5.9135 90.00 107.40 90.00
Space group C2/m (No. 12)
Asymmetric unit:
Y (0.0000, 0.0000, 0.0000) [2 per cell]
U (0.1292, 0.0000, 0.5373) [4 per cell]
Cr (0.1850, 0.5000, 0.0097) [4 per cell]
C (0.0506, 0.5000, 0.7382) [4 per cell]
C (0.2290, 0.0000, 0.2300) [4 per cell]

Peak list (10 most intense, 10° ≤ 2θ ≤ 80°, most intense first)
d_spacing  I (rel.)
2.175  1000
2.820  852
3.118  763
2.498  687
3.164  560
5.643  469
2.441  347
1.396  292
2.017  252
1.561  197

(4)
This entry pairs a crystal structure of VCrC with its calculated powder X-ray diffraction pattern. Radiation: λ = 1.5418 Å (Cu Kα). Structure: DFT lattice parameters and positions (GGA-PBE).

Crystal structure
Lattice parameters (Å, degrees): 8.8467 9.8593 5.7025 90.00 90.00 90.00
Space group Fdd2 (No. 43)
Asymmetric unit:
V (0.1196, 0.0780, 0.0000) [16 per cell]
Cr (0.1211, 0.0746, 0.4928) [16 per cell]
C (0.0006, 0.2444, 0.4962) [16 per cell]

Peak list (10 most intense, 10° ≤ 2θ ≤ 80°, most intense first)
d_spacing  I (rel.)
2.154  1000
2.212  198
1.647  185
2.468  176
1.424  175
1.266  144
2.397  16
1.232  15
1.355  12
3.292  10

(5)
This entry pairs a crystal structure of V2CrC2 with its calculated powder X-ray diffraction pattern. Radiation: λ = 1.5418 Å (Cu Kα). Structure: DFT lattice parameters and positions (GGA-PBE).

Crystal structure
Lattice parameters (Å, degrees): 4.8593 9.4103 10.1503 90.00 90.00 90.00
Space group Fddd (No. 70, origin choice 2)
Asymmetric unit:
V (0.1250, 0.3401, 0.1250) [16 per cell]
Cr (0.1250, 0.1250, 0.6250) [8 per cell]
C (0.0000, 0.0000, 0.5000) [16 per cell]

Peak list (10 most intense, 10° ≤ 2θ ≤ 80°, most intense first)
d_spacing  I (rel.)
2.191  1000
2.551  678
2.538  589
2.079  589
3.973  550
1.604  396
1.725  344
2.353  251
1.608  234
3.450  218

(6)
This entry pairs a crystal structure of VCrC with its calculated powder X-ray diffraction pattern. Radiation: λ = 1.5418 Å (Cu Kα). Structure: DFT lattice parameters and positions (GGA-PBE).

Crystal structure
Lattice parameters (Å, degrees): 4.4354 4.9466 5.6682 90.00 90.00 90.00
Space group P2_12_12 (No. 18)
Asymmetric unit:
V (0.2325, 0.1761, 0.1400) [4 per cell]
Cr (0.2464, 0.6730, 0.3684) [4 per cell]
C (0.0000, 0.0000, 0.8720) [2 per cell]
C (0.0000, 0.5000, 0.6168) [2 per cell]

Peak list (10 most intense, 10° ≤ 2θ ≤ 80°, most intense first)
d_spacing  I (rel.)
2.151  1000
2.160  432
2.218  285
1.425  172
1.647  146
1.267  143
2.459  123
2.473  117
1.651  113
1.417  80